1.
Diffraction record for CaHoZnGe. The powder XRD pattern is computed, not measured: it uses DFT lattice parameters and positions (GGA-PBE) and Cu Kα (λ = 1.5418 Å).
No peak broadening, texture or thermal motion is included.

Largest 12 diffraction maxima, low angle first, 10 to 80 degrees two-theta:
2θ (°)	I (rel.)	h k l
21.49	27	1 1 1
24.86	3	2 0 0
35.44	100	2 2 0
41.82	15	3 1 1
43.78	1	2 2 2
51.00	17	4 0 0
55.95	7	3 3 1
57.54	1	4 2 0
63.64	35	4 2 2
68.00	5	5 1 1
75.00	11	4 4 0
79.09	5	5 3 1

Structure:
Unit cell a=7.163 b=7.163 c=7.163 alpha=90.00 beta=90.00 gamma=90.00
Space group F-43m (No. 216)
Inequivalent atoms, fractional coordinates:
Ca: 0.000 0.000 0.000 [4 per cell]
Ho: 0.000 0.000 0.500 [4 per cell]
Zn: 0.250 0.250 0.750 [4 per cell]
Ge: 0.250 0.250 0.250 [4 per cell]


2.
Diffraction record for CaInGe2O6. The powder XRD pattern is computed, not measured: it uses DFT lattice parameters and positions (GGA-PBE) and Cu Kα (λ = 1.5418 Å).
No peak broadening, texture or thermal motion is included.

Largest 12 diffraction maxima, low angle first, 10 to 80 degrees two-theta:
2θ (°)	I (rel.)	h k l
25.24	75	2 2 0
27.26	100	2 2 -1
27.77	30	3 1 0
28.27	51	3 1 -1
31.86	50	1 3 -1
32.29	65	0 0 2
32.56	57	2 2 1
40.35	30	0 4 1
40.98	33	4 0 -2
51.27	29	2 2 -3
51.57	27	5 3 -1
59.58	30	5 3 1

Structure:
Unit cell a=10.612 b=9.770 c=5.766 alpha=90.00 beta=105.90 gamma=90.00
Space group C2/c (No. 15)
Inequivalent atoms, fractional coordinates:
Ca: 0.000 0.101 0.250 [4 per cell]
In: 0.000 0.283 0.750 [4 per cell]
Ge: 0.211 0.413 0.249 [8 per cell]
O: 0.116 0.097 0.660 [8 per cell]
O: 0.128 0.262 0.132 [8 per cell]
O: 0.157 0.457 0.514 [8 per cell]


3.
Diffraction record for Ca2InGeO6. The powder XRD pattern is computed, not measured: it uses DFT lattice parameters and positions (GGA-PBE) and Cu Kα (λ = 1.5418 Å).
No peak broadening, texture or thermal motion is included.

Largest 12 diffraction maxima, low angle first, 10 to 80 degrees two-theta:
2θ (°)	I (rel.)	h k l
17.10	30	0 0 1
24.27	29	1 1 0
29.84	100	1 1 1
34.59	45	2 0 0
38.83	10	2 0 1
42.71	11	1 1 2
49.72	52	2 2 0
52.97	9	2 2 1
56.08	7	3 1 0
59.08	42	1 1 3
61.99	10	2 2 2
72.96	8	4 0 0

Structure:
Unit cell a=5.187 b=5.187 c=5.185 alpha=90.00 beta=90.00 gamma=90.00
Space group P4mm (No. 99)
Inequivalent atoms, fractional coordinates:
Ca: 0.000 0.500 0.000 [2 per cell]
In: 0.000 0.000 0.524 [1 per cell]
Ge: 0.500 0.500 0.559 [1 per cell]
O: 0.000 0.000 0.132 [1 per cell]
O: 0.265 0.265 0.694 [4 per cell]
O: 0.500 0.500 0.217 [1 per cell]


4.
Diffraction record for Ca3InGe2Pd9. The powder XRD pattern is computed, not measured: it uses DFT lattice parameters and positions (GGA-PBE) and Cu Kα (λ = 1.5418 Å).
No peak broadening, texture or thermal motion is included.

Largest 12 diffraction maxima, low angle first, 10 to 80 degrees two-theta:
2θ (°)	I (rel.)	h k l
19.32	79	1 0 1
23.19	32	0 0 3
31.09	12	0 0 4
36.71	46	0 2 1
39.00	33	1 1 3
39.22	100	2 0 2
43.27	16	0 1 5
48.17	36	0 2 4
48.73	15	2 1 1
54.12	13	0 2 5
64.41	23	2 2 0
78.07	13	0 4 2

Structure:
Unit cell a=5.7860 b=5.7860 c=11.5054 alpha=90.00 beta=90.00 gamma=120.00
Space group P-3m1 (No. 164)
Inequivalent atoms, fractional coordinates:
Ca: 0.0000 0.0000 0.0000 [1 per cell]
Ca: 0.3333 0.6667 0.7613 [2 per cell]
In: 0.0000 0.0000 0.5000 [1 per cell]
Ge: 0.3333 0.6667 0.1600 [2 per cell]
Pd: 0.0000 0.5000 0.0000 [3 per cell]
Pd: 0.1585 0.3170 0.3052 [6 per cell]


5.
Diffraction record for Ca3Ge2Ir2. The powder XRD pattern is computed, not measured: it uses DFT lattice parameters and positions (GGA-PBE) and Cu Kα (λ = 1.5418 Å).
No peak broadening, texture or thermal motion is included.

Largest 12 diffraction maxima, low angle first, 10 to 80 degrees two-theta:
2θ (°)	I (rel.)	h k l
13.01	26	0 0 2
15.34	53	1 0 0
20.18	91	1 1 1
22.69	35	0 2 0
27.47	39	1 1 3
34.92	30	0 2 4
37.80	24	1 3 0
38.35	45	1 2 4
38.71	100	2 1 3
42.90	24	1 3 3
46.26	28	0 2 6
49.06	23	1 4 0

Structure:
Unit cell a=5.775 b=7.837 c=13.609 alpha=90.00 beta=90.00 gamma=90.00
Space group Pbcm (No. 57)
Inequivalent atoms, fractional coordinates:
Ca: 0.129 0.235 0.250 [4 per cell]
Ca: 0.361 0.609 0.599 [8 per cell]
Ge: 0.101 0.250 0.000 [4 per cell]
Ge: 0.350 0.582 0.250 [4 per cell]
Ir: 0.139 0.526 0.092 [8 per cell]


6.
Diffraction record for CaGe2IrOs. The powder XRD pattern is computed, not measured: it uses DFT lattice parameters and positions (GGA-PBE) and Cu Kα (λ = 1.5418 Å).
No peak broadening, texture or thermal motion is included.

Largest 12 diffraction maxima, low angle first, 10 to 80 degrees two-theta:
2θ (°)	I (rel.)	h k l
17.36	90	0 0 2
29.70	14	1 1 0
33.72	15	1 0 3
34.61	100	1 1 2
42.51	54	2 0 0
46.24	31	2 0 2
46.66	61	1 1 4
56.29	11	2 0 4
61.68	18	2 2 0
62.71	20	1 1 6
64.60	12	2 2 2
72.69	23	3 1 2

Structure:
Unit cell a=4.254 b=4.254 c=10.215 alpha=90.00 beta=90.00 gamma=90.00
Space group I-4m2 (No. 119)
Inequivalent atoms, fractional coordinates:
Ca: 0.000 0.000 0.000 [2 per cell]
Ge: 0.000 0.000 0.372 [4 per cell]
Ir: 0.000 0.500 0.750 [2 per cell]
Os: 0.000 0.500 0.250 [2 per cell]


7.
Diffraction record for Ca2Ge4Ir3Ru. The powder XRD pattern is computed, not measured: it uses DFT lattice parameters and positions (GGA-PBE) and Cu Kα (λ = 1.5418 Å).
No peak broadening, texture or thermal motion is included.

Largest 12 diffraction maxima, low angle first, 10 to 80 degrees two-theta:
2θ (°)	I (rel.)	h k l
17.76	47	0 0 2
22.50	80	1 0 1
27.36	33	1 0 2
30.72	35	1 1 1
34.05	65	1 0 3
34.52	86	1 1 2
41.99	97	2 0 0
47.08	100	1 1 4
48.16	23	2 1 1
50.36	23	1 0 5
55.13	35	2 1 3
60.89	32	2 2 0

Structure:
Unit cell a=4.303 b=4.303 c=9.988 alpha=90.00 beta=90.00 gamma=90.00
Space group P-4m2 (No. 115)
Inequivalent atoms, fractional coordinates:
Ca: 0.000 0.500 0.244 [2 per cell]
Ge: 0.000 0.000 0.500 [1 per cell]
Ge: 0.000 0.500 0.877 [2 per cell]
Ge: 0.500 0.500 0.500 [1 per cell]
Ir: 0.000 0.000 0.000 [1 per cell]
Ir: 0.000 0.500 0.628 [2 per cell]
Ru: 0.500 0.500 0.000 [1 per cell]


8.
Diffraction record for CaZn2GeIr. The powder XRD pattern is computed, not measured: it uses DFT lattice parameters and positions (GGA-PBE) and Cu Kα (λ = 1.5418 Å).
No peak broadening, texture or thermal motion is included.

Largest 12 diffraction maxima, low angle first, 10 to 80 degrees two-theta:
2θ (°)	I (rel.)	h k l
15.82	63	0 0 2
22.78	27	0 1 1
23.96	22	1 0 1
32.19	17	0 1 3
33.06	16	1 0 3
35.23	100	1 1 2
43.46	27	0 2 0
45.31	61	1 1 4
46.12	22	2 0 0
59.07	12	1 1 6
65.23	15	2 2 0
74.44	14	1 3 2

Structure:
Unit cell a=3.936 b=4.164 c=11.206 alpha=90.00 beta=90.00 gamma=90.00
Space group Imm2 (No. 44)
Inequivalent atoms, fractional coordinates:
Ca: 0.000 0.000 0.000 [2 per cell]
Zn: 0.000 0.000 0.614 [2 per cell]
Zn: 0.000 0.500 0.254 [2 per cell]
Ge: 0.000 0.000 0.387 [2 per cell]
Ir: 0.000 0.500 0.752 [2 per cell]


9.
Diffraction record for KCa2Ge. The powder XRD pattern is computed, not measured: it uses DFT lattice parameters and positions (GGA-PBE) and Cu Kα (λ = 1.5418 Å).
No peak broadening, texture or thermal motion is included.

Largest 12 diffraction maxima, low angle first, 10 to 80 degrees two-theta:
2θ (°)	I (rel.)	h k l
12.11	97	1 0 1
19.48	100	1 1 2
20.54	44	2 0 0
24.36	31	2 0 2
30.31	21	2 1 3
33.42	25	2 0 4
35.35	42	3 1 2
39.54	46	2 2 4
41.78	19	4 0 0
42.33	13	1 1 6
52.25	13	3 1 6
74.77	12	6 2 4

Structure:
Unit cell a=8.649 b=8.649 c=13.672 alpha=90.00 beta=90.00 gamma=90.00
Space group I-42d (No. 122)
Inequivalent atoms, fractional coordinates:
K: 0.000 0.000 0.000 [4 per cell]
Ca: 0.002 0.250 0.625 [8 per cell]
Ge: 0.000 0.000 0.500 [4 per cell]


10.
Diffraction record for CaLaGe2. The powder XRD pattern is computed, not measured: it uses DFT lattice parameters and positions (GGA-PBE) and Cu Kα (λ = 1.5418 Å).
No peak broadening, texture or thermal motion is included.

Largest 12 diffraction maxima, low angle first, 10 to 80 degrees two-theta:
2θ (°)	I (rel.)	h k l
15.89	28	0 0 2
20.97	15	0 1 1
30.43	100	1 1 1
30.98	32	0 1 3
32.09	24	0 0 4
38.20	73	1 1 3
39.13	27	1 0 4
39.36	29	0 2 0
44.43	20	2 0 0
56.71	18	1 2 4
60.84	16	2 2 0
61.62	14	0 1 7

Structure:
Unit cell a=4.078 b=4.578 c=11.157 alpha=90.00 beta=90.00 gamma=90.00
Space group Amm2 (No. 38)
Inequivalent atoms, fractional coordinates:
Ca: 0.000 0.000 0.000 [2 per cell]
La: 0.500 0.000 0.724 [2 per cell]
Ge: 0.000 0.000 0.287 [2 per cell]
Ge: 0.500 0.000 0.442 [2 per cell]


11.
Diffraction record for CaLaGe4. The powder XRD pattern is computed, not measured: it uses DFT lattice parameters and positions (GGA-PBE) and Cu Kα (λ = 1.5418 Å).
No peak broadening, texture or thermal motion is included.

Largest 12 diffraction maxima, low angle first, 10 to 80 degrees two-theta:
2θ (°)	I (rel.)	h k l
25.60	41	1 2 1
28.79	33	1 3 1
29.28	82	2 1 1
31.17	72	0 4 1
32.78	41	1 4 1
33.74	100	2 3 1
35.61	27	2 5 0
36.69	26	1 6 0
40.44	36	4 0 0
41.55	56	0 0 2
51.93	25	4 4 1
59.37	23	4 0 2

Structure:
Unit cell a=8.921 b=15.283 c=4.347 alpha=90.00 beta=90.00 gamma=90.00
Space group Pbam (No. 55)
Inequivalent atoms, fractional coordinates:
Ca: 0.143 0.086 0.000 [4 per cell]
La: 0.128 0.366 0.000 [4 per cell]
Ge: 0.063 0.213 0.500 [4 per cell]
Ge: 0.109 0.932 0.500 [4 per cell]
Ge: 0.128 0.529 0.500 [4 per cell]
Ge: 0.159 0.693 0.500 [4 per cell]


12.
Diffraction record for Li2Ca3Ge3. The powder XRD pattern is computed, not measured: it uses DFT lattice parameters and positions (GGA-PBE) and Cu Kα (λ = 1.5418 Å).
No peak broadening, texture or thermal motion is included.

Largest 12 diffraction maxima, low angle first, 10 to 80 degrees two-theta:
2θ (°)	I (rel.)	h k l
20.11	32	0 2 2
21.72	47	1 1 0
28.10	63	1 1 3
32.25	100	1 1 4
32.48	45	1 3 1
32.91	37	0 4 0
33.93	25	0 2 5
36.69	42	1 3 3
40.05	29	1 3 4
40.88	50	2 0 0
44.06	25	1 3 5
45.18	27	0 2 7

Structure:
Unit cell a=4.415 b=10.886 c=15.112 alpha=90.00 beta=90.00 gamma=90.00
Space group Cmcm (No. 63)
Inequivalent atoms, fractional coordinates:
Li: 0.000 0.214 0.086 [8 per cell]
Ca: 0.000 0.091 0.612 [8 per cell]
Ca: 0.000 0.374 0.750 [4 per cell]
Ge: 0.000 0.330 0.250 [4 per cell]
Ge: 0.000 0.401 0.543 [8 per cell]